The following is a computed powder diffractogram of Na3InP2O8. It was derived from a GGA-PBE-relaxed structure, using Cu Kα X-rays.
Intensities are scaled so that the largest is 100.

Largest 12 diffraction maxima, by intensity, 2θ = 10–90°:
13.2 deg, intensity 100
33.8 deg, intensity 96
31.5 deg, intensity 86
31.2 deg, intensity 67
32.2 deg, intensity 40
19.6 deg, intensity 38
34.4 deg, intensity 37
19.0 deg, intensity 37
22.0 deg, intensity 33
46.7 deg, intensity 30
48.1 deg, intensity 25
22.8 deg, intensity 24

Atomic structure:
Lattice parameters (Å, degrees): 5.216 18.463 8.735 90.00 124.42 90.00
Positions (direct):
Na1 0.049 0.050 0.291
Na2 0.049 0.450 0.791
Na3 0.301 0.625 0.014
Na4 0.301 0.875 0.514
Na5 0.397 0.194 0.695
Na6 0.397 0.306 0.195
Na7 0.603 0.694 0.805
Na8 0.603 0.806 0.305
Na9 0.699 0.125 0.486
Na10 0.699 0.375 0.986
Na11 0.951 0.550 0.209
Na12 0.951 0.950 0.709
In1 0.204 0.128 0.988
In2 0.204 0.372 0.488
In3 0.796 0.628 0.512
In4 0.796 0.872 0.012
P1 0.086 0.714 0.282
P2 0.086 0.786 0.782
P3 0.486 0.537 0.717
P4 0.486 0.963 0.217
P5 0.514 0.037 0.783
P6 0.514 0.463 0.283
P7 0.914 0.214 0.218
P8 0.914 0.286 0.718
O1 0.021 0.671 0.114
O2 0.021 0.829 0.614
O3 0.082 0.702 0.752
O4 0.082 0.798 0.252
O5 0.170 0.194 0.183
O6 0.170 0.306 0.683
O7 0.182 0.568 0.544
O8 0.182 0.932 0.044
O9 0.228 0.063 0.785
O10 0.228 0.437 0.285
O11 0.417 0.698 0.459
O12 0.417 0.802 0.959
O13 0.473 0.062 0.605
O14 0.473 0.438 0.105
O15 0.488 0.049 0.213
O16 0.488 0.451 0.713
O17 0.512 0.549 0.287
O18 0.512 0.951 0.787
O19 0.527 0.562 0.895
O20 0.527 0.938 0.395
O21 0.583 0.198 0.041
O22 0.583 0.302 0.541
O23 0.772 0.563 0.715
O24 0.772 0.937 0.215
O25 0.818 0.068 0.956
O26 0.818 0.432 0.456
O27 0.830 0.694 0.317
O28 0.830 0.806 0.817
O29 0.918 0.202 0.748
O30 0.918 0.298 0.248
O31 0.979 0.171 0.386
O32 0.979 0.329 0.886


The following is a computed powder diffractogram of RbMg6Co. It was derived from a GGA-PBE-relaxed structure, using Cu Kα X-rays.
Intensities are scaled so that the largest is 100.

Largest 12 diffraction maxima, by intensity, 2θ = 10–90°:
37.2 deg, intensity 100
15.5 deg, intensity 80
29.8 deg, intensity 76
22.6 deg, intensity 72
31.8 deg, intensity 61
39.9 deg, intensity 40
30.0 deg, intensity 37
31.2 deg, intensity 37
42.2 deg, intensity 36
51.8 deg, intensity 29
47.3 deg, intensity 27
25.1 deg, intensity 26

Atomic structure:
Lattice parameters (Å, degrees): 4.523 6.144 15.853 90.00 90.00 90.00
Positions (direct):
Rb1 0.000 0.000 0.000
Rb2 0.000 0.500 0.500
Mg1 0.000 0.000 0.418
Mg2 0.000 0.232 0.198
Mg3 0.000 0.268 0.698
Mg4 0.000 0.500 0.918
Mg5 0.000 0.732 0.698
Mg6 0.000 0.768 0.198
Mg7 0.500 0.000 0.616
Mg8 0.500 0.247 0.316
Mg9 0.500 0.253 0.816
Mg10 0.500 0.500 0.116
Mg11 0.500 0.747 0.816
Mg12 0.500 0.753 0.316
Co1 0.500 0.000 0.186
Co2 0.500 0.500 0.686


The following is a computed powder diffractogram of ThAs12Os4. It was derived from a GGA-PBE-relaxed structure, using Cu Kα X-rays.
Intensities are scaled so that the largest is 100.

Largest 12 diffraction maxima, by intensity, 2θ = 10–90°:
29.3 deg, intensity 100
32.8 deg, intensity 91
51.9 deg, intensity 88
39.0 deg, intensity 54
47.1 deg, intensity 53
54.2 deg, intensity 37
20.6 deg, intensity 32
68.8 deg, intensity 31
83.8 deg, intensity 20
41.8 deg, intensity 19
76.4 deg, intensity 16
74.5 deg, intensity 14

Atomic structure:
Lattice parameters (Å, degrees): 7.478 7.478 7.478 109.47 109.47 109.47
Positions (direct):
Th1 0.000 0.000 0.000
As1 0.149 0.346 0.495
As2 0.149 0.654 0.803
As3 0.197 0.851 0.346
As4 0.346 0.197 0.851
As5 0.346 0.495 0.149
As6 0.495 0.149 0.346
As7 0.505 0.851 0.654
As8 0.654 0.505 0.851
As9 0.654 0.803 0.149
As10 0.803 0.149 0.654
As11 0.851 0.346 0.197
As12 0.851 0.654 0.505
Os1 0.000 0.000 0.500
Os2 0.000 0.500 0.000
Os3 0.500 0.000 0.000
Os4 0.500 0.500 0.500


The following is a computed powder diffractogram of LiInO2. It was derived from a GGA-PBE-relaxed structure, using Cu Kα X-rays.
Intensities are scaled so that the largest is 100.

Largest 12 diffraction maxima, by intensity, 2θ = 10–90°:
22.4 deg, intensity 100
34.6 deg, intensity 39
41.2 deg, intensity 36
47.3 deg, intensity 26
35.2 deg, intensity 25
57.4 deg, intensity 24
38.2 deg, intensity 21
55.2 deg, intensity 13
52.9 deg, intensity 11
70.8 deg, intensity 11
73.1 deg, intensity 11
59.6 deg, intensity 11

Atomic structure:
Lattice parameters (Å, degrees): 4.385 4.385 9.419 90.00 90.00 90.00
Positions (direct):
Li1 0.000 0.000 0.000
Li2 0.000 0.500 0.250
Li3 0.500 0.000 0.750
Li4 0.500 0.500 0.500
In1 0.000 0.000 0.482
In2 0.000 0.500 0.732
In3 0.500 0.000 0.232
In4 0.500 0.500 0.982
O1 0.000 0.000 0.245
O2 0.000 0.000 0.714
O3 0.000 0.500 0.495
O4 0.000 0.500 0.964
O5 0.500 0.000 0.464
O6 0.500 0.000 0.995
O7 0.500 0.500 0.214
O8 0.500 0.500 0.745


The following is a computed powder diffractogram of ZrSiNi. It was derived from a GGA-PBE-relaxed structure, using Cu Kα X-rays.
Intensities are scaled so that the largest is 100.

Largest 12 diffraction maxima, by intensity, 2θ = 10–90°:
36.8 deg, intensity 100
38.5 deg, intensity 99
39.6 deg, intensity 41
47.6 deg, intensity 41
44.1 deg, intensity 39
43.7 deg, intensity 29
72.1 deg, intensity 28
36.4 deg, intensity 28
37.1 deg, intensity 28
26.3 deg, intensity 21
63.6 deg, intensity 19
82.4 deg, intensity 19

Atomic structure:
Lattice parameters (Å, degrees): 6.479 3.821 7.301 90.00 90.00 90.00
Positions (direct):
Zr1 0.016 0.250 0.185
Zr2 0.484 0.750 0.685
Zr3 0.516 0.250 0.315
Zr4 0.984 0.750 0.815
Si1 0.226 0.750 0.386
Si2 0.274 0.250 0.886
Si3 0.726 0.750 0.114
Si4 0.774 0.250 0.614
Ni1 0.141 0.250 0.561
Ni2 0.359 0.750 0.061
Ni3 0.641 0.250 0.939
Ni4 0.859 0.750 0.439


The following is a computed powder diffractogram of Tm3Al. It was derived from a GGA-PBE-relaxed structure, using Cu Kα X-rays.
Intensities are scaled so that the largest is 100.

Largest 12 diffraction maxima, by intensity, 2θ = 10–90°:
35.2 deg, intensity 100
22.7 deg, intensity 26
33.9 deg, intensity 25
30.7 deg, intensity 24
65.9 deg, intensity 21
61.5 deg, intensity 20
54.6 deg, intensity 19
46.4 deg, intensity 15
66.7 deg, intensity 15
26.5 deg, intensity 9
86.8 deg, intensity 8
43.6 deg, intensity 5

Atomic structure:
Lattice parameters (Å, degrees): 6.719 6.719 5.287 90.00 90.00 120.00
Positions (direct):
Tm1 0.173 0.346 0.250
Tm2 0.173 0.827 0.250
Tm3 0.346 0.173 0.750
Tm4 0.654 0.827 0.250
Tm5 0.827 0.173 0.750
Tm6 0.827 0.654 0.750
Al1 0.333 0.667 0.750
Al2 0.667 0.333 0.250